# 1
For Na5Gd4Si4O16F, a cell relaxed with GGA-PBE gives the theoretical X-ray diffraction stick pattern in this record (CuKα).

Principal peaks in the range 10° ≤ 2θ ≤ 90°, sorted by position:
d [Å], I (rel.)
8.349, 58
4.979, 100
3.806, 52
3.734, 51
3.199, 67
2.813, 78
2.746, 48
2.640, 36
2.539, 61
2.169, 41
1.903, 46
1.830, 39

a b c (Å): 8.789 8.789 8.789
angles (deg): 95.60 95.60 143.59
Positions (direct):
Na 0.000 0.000 0.000
Na 0.119 0.602 0.695
Na 0.398 0.093 0.516
Na 0.576 0.881 0.484
Na 0.907 0.424 0.305
Gd 0.340 0.408 0.701
Gd 0.361 0.660 0.067
Gd 0.592 0.294 0.933
Gd 0.706 0.639 0.299
Si 0.092 0.236 0.351
Si 0.259 0.908 0.144
Si 0.764 0.115 0.856
Si 0.885 0.741 0.649
O 0.050 0.294 0.825
O 0.129 0.407 0.494
O 0.169 0.139 0.439
O 0.180 0.043 0.766
O 0.270 0.831 0.970
O 0.277 0.413 0.234
O 0.365 0.871 0.278
O 0.470 0.225 0.175
O 0.587 0.820 0.864
O 0.593 0.087 0.722
O 0.700 0.730 0.561
O 0.706 0.530 0.755
O 0.775 0.950 0.245
O 0.861 0.300 0.030
O 0.913 0.635 0.506
O 0.957 0.723 0.136
F 0.500 0.500 0.000

# 2
For Gd3SOF5, a cell relaxed with GGA-PBE gives the theoretical X-ray diffraction stick pattern in this record (CuKα).

Principal peaks in the range 10° ≤ 2θ ≤ 90°, sorted by position:
d [Å], I (rel.)
4.809, 53
3.415, 89
3.154, 100
3.150, 83
3.121, 82
2.956, 100
2.946, 54
2.786, 78
2.402, 61
1.958, 60
1.808, 74
1.610, 54

a b c (Å): 9.540 3.746 9.602
angles (deg): 90.00 119.46 90.00
Positions (direct):
Gd 0.000 0.000 0.000
Gd 0.105 0.500 0.687
Gd 0.272 0.500 0.375
Gd 0.528 0.000 0.817
Gd 0.701 0.000 0.507
Gd 0.823 0.500 0.238
S 0.077 0.000 0.441
S 0.734 0.500 0.771
O 0.022 0.500 0.156
O 0.841 0.500 0.491
F 0.128 0.500 0.940
F 0.260 0.000 0.221
F 0.283 0.000 0.817
F 0.357 0.500 0.668
F 0.450 0.000 0.536
F 0.518 0.500 0.378
F 0.563 0.500 0.982
F 0.677 0.000 0.254
F 0.783 0.000 0.056
F 0.973 0.000 0.728

# 3
For Gd3Se4O12F, a cell relaxed with GGA-PBE gives the theoretical X-ray diffraction stick pattern in this record (CuKα).

Principal peaks in the range 10° ≤ 2θ ≤ 90°, sorted by position:
d [Å], I (rel.)
5.567, 31
4.581, 37
3.835, 100
3.273, 42
3.105, 88
2.800, 58
2.783, 88
2.645, 63
2.013, 47
1.937, 39
1.803, 36
1.773, 29

a b c (Å): 10.580 10.580 7.009
angles (deg): 90.00 90.00 120.00
Positions (direct):
Gd 0.075 0.537 0.000
Gd 0.463 0.537 0.000
Gd 0.463 0.925 0.000
Gd 0.537 0.075 0.500
Gd 0.537 0.463 0.500
Gd 0.925 0.463 0.500
Se 0.156 0.311 0.233
Se 0.156 0.844 0.233
Se 0.311 0.156 0.733
Se 0.333 0.667 0.568
Se 0.667 0.333 0.068
Se 0.689 0.844 0.233
Se 0.844 0.156 0.733
Se 0.844 0.689 0.733
O 0.081 0.416 0.303
O 0.081 0.665 0.303
O 0.163 0.582 0.679
O 0.182 0.365 0.997
O 0.182 0.818 0.997
O 0.335 0.416 0.303
O 0.335 0.919 0.303
O 0.365 0.182 0.497
O 0.416 0.081 0.803
O 0.416 0.335 0.803
O 0.418 0.582 0.679
O 0.418 0.837 0.679
O 0.582 0.163 0.179
O 0.582 0.418 0.179
O 0.584 0.665 0.303
O 0.584 0.919 0.303
O 0.635 0.818 0.997
O 0.665 0.081 0.803
O 0.665 0.584 0.803
O 0.818 0.182 0.497
O 0.818 0.635 0.497
O 0.837 0.418 0.179
O 0.919 0.335 0.803
O 0.919 0.584 0.803
F 0.333 0.667 0.046
F 0.667 0.333 0.546